The following is a theoretical X-ray diffraction stick pattern of Ta14MoOs. It was derived from a GGA-PBE-relaxed structure, using Cu Ka.
No peak broadening, texture or thermal motion is included.

Cell and atoms:
a = 6.5523 Å, b = 6.5523 Å, c = 6.6062 Å
α = 90.00°, β = 90.00°, γ = 90.00°
Space group P4/mmm (No. 123)
Symmetry-distinct sites (fractional):
Ta  0.0000  0.0000  0.0000 x1
Ta  0.0000  0.5000  0.0000 x2
Ta  0.0000  0.5000  0.5000 x2
Ta  0.2492  0.2492  0.2560 x8
Ta  0.5000  0.5000  0.0000 x1
Mo  0.5000  0.5000  0.5000 x1
Os  0.0000  0.0000  0.5000 x1

Peak list (10 most intense, 2θ from 15° to 90°, in order of rising 2θ)
4.647 Å, I = 1
2.934 Å, I = 1
2.326 Å, I = 100
2.317 Å, I = 50
1.652 Å, I = 9
1.638 Å, I = 17
1.345 Å, I = 18
1.339 Å, I = 35
1.163 Å, I = 11
1.158 Å, I = 6